Starting from DFT lattice parameters and positions (PBE), the powder diffraction line list of CdAg2I2Br2 was simulated for CuKα.
Peak positions follow from Bragg's law for the DFT cell and can differ from measured ones.

Largest 10 diffraction maxima, most intense first, 2θ = 10–80°:
2theta  intensity
24.10  1000
40.37  932
24.62  863
48.00  445
47.13  288
39.53  255
40.86  214
72.28  174
15.64  148
58.16  146

Cell and atoms:
```
data_CdAg2I2Br2
_symmetry_space_group_name_H-M 'P 1'
_symmetry_Int_Tables_number 1
_cell_length_a 8.835
_cell_length_b 12.590
_cell_length_c 6.348
_cell_angle_alpha 90.00
_cell_angle_beta 134.09
_cell_angle_gamma 90.00
loop_
_symmetry_equiv_pos_as_xyz
'x,y,z'
loop_
_atom_site_label
_atom_site_type_symbol
_atom_site_fract_x
_atom_site_fract_y
_atom_site_fract_z
Cd1 Cd 0.000 0.000 0.000
Cd2 Cd 0.500 0.500 0.000
Ag1 Ag 0.000 0.499 0.000
Ag2 Ag 0.000 0.756 0.500
Ag3 Ag 0.500 0.256 0.500
Ag4 Ag 0.500 0.999 0.000
I1 I 0.231 0.133 0.499
I2 I 0.269 0.633 0.501
I3 I 0.731 0.633 0.499
I4 I 0.769 0.133 0.501
Br1 Br 0.248 0.874 0.010
Br2 Br 0.252 0.374 0.990
Br3 Br 0.748 0.374 0.010
Br4 Br 0.752 0.874 0.990
```

***

Starting from DFT lattice parameters and positions (PBE), the powder diffraction line list of ZnSiIr2 was simulated for CuKα.
Peak positions follow from Bragg's law for the DFT cell and can differ from measured ones.

Largest 7 diffraction maxima, most intense first, 2θ = 10–80°:
2theta  intensity
41.73  1000
25.20  425
76.19  342
49.38  219
60.50  167
66.59  91
29.18  10

Cell and atoms:
```
data_ZnSiIr2
_symmetry_space_group_name_H-M 'P 1'
_symmetry_Int_Tables_number 1
_cell_length_a 6.121
_cell_length_b 6.121
_cell_length_c 6.121
_cell_angle_alpha 90.00
_cell_angle_beta 90.00
_cell_angle_gamma 90.00
loop_
_symmetry_equiv_pos_as_xyz
'x,y,z'
loop_
_atom_site_label
_atom_site_type_symbol
_atom_site_fract_x
_atom_site_fract_y
_atom_site_fract_z
Zn1 Zn 0.000 0.000 0.000
Zn2 Zn 0.000 0.500 0.500
Zn3 Zn 0.500 0.000 0.500
Zn4 Zn 0.500 0.500 0.000
Si1 Si 0.250 0.250 0.750
Si2 Si 0.250 0.750 0.250
Si3 Si 0.750 0.250 0.250
Si4 Si 0.750 0.750 0.750
Ir1 Ir 0.000 0.000 0.500
Ir2 Ir 0.000 0.500 0.000
Ir3 Ir 0.250 0.250 0.250
Ir4 Ir 0.250 0.750 0.750
Ir5 Ir 0.500 0.000 0.000
Ir6 Ir 0.500 0.500 0.500
Ir7 Ir 0.750 0.250 0.750
Ir8 Ir 0.750 0.750 0.250
```

***

Starting from DFT lattice parameters and positions (PBE), the powder diffraction line list of Tb2Ge5Ir3 was simulated for CuKα.
Peak positions follow from Bragg's law for the DFT cell and can differ from measured ones.

Largest 10 diffraction maxima, most intense first, 2θ = 10–80°:
2theta  intensity
33.66  1000
42.89  907
35.06  535
34.40  332
34.52  319
24.22  309
31.83  257
61.49  188
56.00  178
55.25  175

Cell and atoms:
```
data_Tb2Ge5Ir3
_symmetry_space_group_name_H-M 'P 1'
_symmetry_Int_Tables_number 1
_cell_length_a 8.386
_cell_length_b 8.386
_cell_length_c 6.032
_cell_angle_alpha 110.94
_cell_angle_beta 110.94
_cell_angle_gamma 89.42
loop_
_symmetry_equiv_pos_as_xyz
'x,y,z'
loop_
_atom_site_label
_atom_site_type_symbol
_atom_site_fract_x
_atom_site_fract_y
_atom_site_fract_z
Tb1 Tb 0.091 0.360 0.225
Tb2 Tb 0.360 0.091 0.725
Tb3 Tb 0.640 0.909 0.275
Tb4 Tb 0.909 0.640 0.775
Ge1 Ge 0.001 0.999 0.750
Ge2 Ge 0.240 0.435 0.837
Ge3 Ge 0.277 0.723 0.750
Ge4 Ge 0.278 0.722 0.250
Ge5 Ge 0.435 0.240 0.337
Ge6 Ge 0.565 0.760 0.663
Ge7 Ge 0.722 0.278 0.750
Ge8 Ge 0.723 0.277 0.250
Ge9 Ge 0.760 0.565 0.163
Ge10 Ge 0.999 0.001 0.250
Ir1 Ir 0.031 0.747 0.388
Ir2 Ir 0.253 0.969 0.112
Ir3 Ir 0.500 0.500 0.250
Ir4 Ir 0.500 0.500 0.750
Ir5 Ir 0.747 0.031 0.888
Ir6 Ir 0.969 0.253 0.612
```

***

Starting from DFT lattice parameters and positions (PBE), the powder diffraction line list of NdY2Zn2Si4Au2 was simulated for CuKα.
Peak positions follow from Bragg's law for the DFT cell and can differ from measured ones.

Largest 10 diffraction maxima, most intense first, 2θ = 10–80°:
2theta  intensity
33.67  1000
33.13  289
28.07  283
21.39  271
45.06  220
42.95  212
44.21  195
38.62  167
64.96  147
55.29  132

Cell and atoms:
```
data_NdY2Zn2Si4Au2
_symmetry_space_group_name_H-M 'P 1'
_symmetry_Int_Tables_number 1
_cell_length_a 12.933
_cell_length_b 12.933
_cell_length_c 12.933
_cell_angle_alpha 161.77
_cell_angle_beta 161.26
_cell_angle_gamma 26.26
loop_
_symmetry_equiv_pos_as_xyz
'x,y,z'
loop_
_atom_site_label
_atom_site_type_symbol
_atom_site_fract_x
_atom_site_fract_y
_atom_site_fract_z
Nd1 Nd 0.000 0.000 0.000
Y1 Y 0.354 0.854 0.500
Y2 Y 0.646 0.146 0.500
Zn1 Zn 0.251 0.251 0.000
Zn2 Zn 0.749 0.749 0.000
Si1 Si 0.192 0.692 0.500
Si2 Si 0.453 0.453 0.000
Si3 Si 0.547 0.547 0.000
Si4 Si 0.808 0.308 0.500
Au1 Au 0.097 0.597 0.500
Au2 Au 0.903 0.403 0.500
```

***

Starting from DFT lattice parameters and positions (PBE), the powder diffraction line list of Nd3Ga4 was simulated for CuKα.
Peak positions follow from Bragg's law for the DFT cell and can differ from measured ones.

Largest 10 diffraction maxima, most intense first, 2θ = 10–80°:
2theta  intensity
30.88  1000
31.29  553
39.76  287
41.08  274
35.12  273
42.88  242
54.03  235
25.45  209
68.54  184
58.50  181

Cell and atoms:
```
data_Nd3Ga4
_symmetry_space_group_name_H-M 'P 1'
_symmetry_Int_Tables_number 1
_cell_length_a 4.218
_cell_length_b 4.395
_cell_length_c 18.818
_cell_angle_alpha 90.00
_cell_angle_beta 90.00
_cell_angle_gamma 90.00
loop_
_symmetry_equiv_pos_as_xyz
'x,y,z'
loop_
_atom_site_label
_atom_site_type_symbol
_atom_site_fract_x
_atom_site_fract_y
_atom_site_fract_z
Nd1 Nd 0.000 0.000 0.000
Nd2 Nd 0.000 0.500 0.316
Nd3 Nd 0.000 0.500 0.684
Nd4 Nd 0.500 0.000 0.184
Nd5 Nd 0.500 0.000 0.816
Nd6 Nd 0.500 0.500 0.500
Ga1 Ga 0.000 0.000 0.434
Ga2 Ga 0.000 0.000 0.566
Ga3 Ga 0.000 0.500 0.142
Ga4 Ga 0.000 0.500 0.858
Ga5 Ga 0.500 0.000 0.358
Ga6 Ga 0.500 0.000 0.642
Ga7 Ga 0.500 0.500 0.066
Ga8 Ga 0.500 0.500 0.934
```

***

Starting from DFT lattice parameters and positions (PBE), the powder diffraction line list of Cs2NaAu3C6N6 was simulated for CuKα.
Peak positions follow from Bragg's law for the DFT cell and can differ from measured ones.

Largest 10 diffraction maxima, most intense first, 2θ = 10–80°:
2theta  intensity
30.12  1000
20.66  673
38.63  580
27.46  444
19.24  293
29.72  259
29.03  241
52.75  225
61.32  225
42.01  206

Cell and atoms:
```
data_Cs2NaAu3C6N6
_symmetry_space_group_name_H-M 'P 1'
_symmetry_Int_Tables_number 1
_cell_length_a 6.941
_cell_length_b 6.941
_cell_length_c 18.455
_cell_angle_alpha 90.00
_cell_angle_beta 90.00
_cell_angle_gamma 120.00
loop_
_symmetry_equiv_pos_as_xyz
'x,y,z'
loop_
_atom_site_label
_atom_site_type_symbol
_atom_site_fract_x
_atom_site_fract_y
_atom_site_fract_z
Cs1 Cs 0.333 0.667 0.060
Cs2 Cs 0.333 0.667 0.440
Cs3 Cs 0.667 0.333 0.560
Cs4 Cs 0.667 0.333 0.940
Na1 Na 0.000 0.000 0.000
Na2 Na 0.000 0.000 0.500
Au1 Au 0.171 0.342 0.750
Au2 Au 0.171 0.829 0.750
Au3 Au 0.342 0.171 0.250
Au4 Au 0.658 0.829 0.750
Au5 Au 0.829 0.171 0.250
Au6 Au 0.829 0.658 0.250
C1 C 0.168 0.337 0.642
C2 C 0.168 0.337 0.858
C3 C 0.168 0.832 0.642
C4 C 0.168 0.832 0.858
C5 C 0.337 0.168 0.142
C6 C 0.337 0.168 0.358
C7 C 0.663 0.832 0.642
C8 C 0.663 0.832 0.858
C9 C 0.832 0.168 0.142
C10 C 0.832 0.168 0.358
C11 C 0.832 0.663 0.142
C12 C 0.832 0.663 0.358
N1 N 0.165 0.329 0.579
N2 N 0.165 0.329 0.921
N3 N 0.165 0.835 0.579
N4 N 0.165 0.835 0.921
N5 N 0.329 0.165 0.079
N6 N 0.329 0.165 0.421
N7 N 0.671 0.835 0.579
N8 N 0.671 0.835 0.921
N9 N 0.835 0.165 0.079
N10 N 0.835 0.165 0.421
N11 N 0.835 0.671 0.079
N12 N 0.835 0.671 0.421
```

***

Starting from DFT lattice parameters and positions (PBE), the powder diffraction line list of PPd7 was simulated for CuKα.
Peak positions follow from Bragg's law for the DFT cell and can differ from measured ones.

Largest 10 diffraction maxima, most intense first, 2θ = 10–80°:
2theta  intensity
41.70  1000
39.09  952
43.84  571
34.89  524
42.80  450
37.57  363
37.79  322
72.44  306
39.31  228
70.12  226

Cell and atoms:
```
data_PPd7
_symmetry_space_group_name_H-M 'P 1'
_symmetry_Int_Tables_number 1
_cell_length_a 9.168
_cell_length_b 5.618
_cell_length_c 5.618
_cell_angle_alpha 122.05
_cell_angle_beta 90.00
_cell_angle_gamma 90.00
loop_
_symmetry_equiv_pos_as_xyz
'x,y,z'
loop_
_atom_site_label
_atom_site_type_symbol
_atom_site_fract_x
_atom_site_fract_y
_atom_site_fract_z
P1 P 0.000 0.000 0.000
P2 P 0.500 0.500 0.500
Pd1 Pd 0.000 0.573 0.573
Pd2 Pd 0.044 0.074 0.605
Pd3 Pd 0.193 0.334 0.115
Pd4 Pd 0.216 0.853 0.116
Pd5 Pd 0.284 0.353 0.616
Pd6 Pd 0.307 0.834 0.615
Pd7 Pd 0.456 0.574 0.105
Pd8 Pd 0.500 0.073 0.073
Pd9 Pd 0.544 0.105 0.574
Pd10 Pd 0.693 0.615 0.834
Pd11 Pd 0.716 0.616 0.353
Pd12 Pd 0.784 0.116 0.853
Pd13 Pd 0.807 0.115 0.334
Pd14 Pd 0.956 0.605 0.074
```

***

Starting from DFT lattice parameters and positions (PBE), the powder diffraction line list of GaSiNi4Ir2 was simulated for CuKα.
Peak positions follow from Bragg's law for the DFT cell and can differ from measured ones.

Largest 10 diffraction maxima, most intense first, 2θ = 10–80°:
2theta  intensity
43.82  1000
44.16  500
26.49  430
30.83  184
64.23  160
52.23  144
30.37  90
63.19  76
54.54  73
51.64  66

Cell and atoms:
```
data_GaSiNi4Ir2
_symmetry_space_group_name_H-M 'P 1'
_symmetry_Int_Tables_number 1
_cell_length_a 4.102
_cell_length_b 4.102
_cell_length_c 5.886
_cell_angle_alpha 90.00
_cell_angle_beta 90.00
_cell_angle_gamma 90.00
loop_
_symmetry_equiv_pos_as_xyz
'x,y,z'
loop_
_atom_site_label
_atom_site_type_symbol
_atom_site_fract_x
_atom_site_fract_y
_atom_site_fract_z
Ga1 Ga 0.000 0.000 0.000
Si1 Si 0.500 0.500 0.500
Ni1 Ni 0.000 0.000 0.500
Ni2 Ni 0.000 0.500 0.742
Ni3 Ni 0.500 0.000 0.258
Ni4 Ni 0.500 0.500 0.000
Ir1 Ir 0.000 0.500 0.266
Ir2 Ir 0.500 0.000 0.734
```

***

Starting from DFT lattice parameters and positions (PBE), the powder diffraction line list of Gd2DyNi2B2P3 was simulated for CuKα.
Peak positions follow from Bragg's law for the DFT cell and can differ from measured ones.

Largest 10 diffraction maxima, most intense first, 2θ = 10–80°:
2theta  intensity
25.79  1000
41.08  562
32.02  518
45.91  467
33.62  452
58.10  364
33.13  307
36.29  296
53.40  291
30.84  275

Cell and atoms:
```
data_Gd2DyNi2B2P3
_symmetry_space_group_name_H-M 'P 1'
_symmetry_Int_Tables_number 1
_cell_length_a 11.022
_cell_length_b 11.022
_cell_length_c 11.022
_cell_angle_alpha 159.34
_cell_angle_beta 159.34
_cell_angle_gamma 29.38
loop_
_symmetry_equiv_pos_as_xyz
'x,y,z'
loop_
_atom_site_label
_atom_site_type_symbol
_atom_site_fract_x
_atom_site_fract_y
_atom_site_fract_z
Gd1 Gd 0.138 0.138 0.000
Gd2 Gd 0.862 0.862 0.000
Dy1 Dy 0.500 0.500 0.000
Ni1 Ni 0.250 0.750 0.500
Ni2 Ni 0.750 0.250 0.500
B1 B 0.281 0.281 0.000
B2 B 0.719 0.719 0.000
P1 P 0.000 0.000 0.000
P2 P 0.372 0.372 0.000
P3 P 0.628 0.628 0.000
```

***

Starting from DFT lattice parameters and positions (PBE), the powder diffraction line list of Gd3Zn22 was simulated for CuKα.
Peak positions follow from Bragg's law for the DFT cell and can differ from measured ones.

Largest 10 diffraction maxima, most intense first, 2θ = 10–80°:
2theta  intensity
39.96  1000
39.10  964
41.05  670
37.40  344
42.86  333
31.14  235
74.06  231
45.17  210
58.63  203
34.11  183

Cell and atoms:
```
data_Gd3Zn22
_symmetry_space_group_name_H-M 'P 1'
_symmetry_Int_Tables_number 1
_cell_length_a 12.215
_cell_length_b 12.215
_cell_length_c 12.215
_cell_angle_alpha 137.80
_cell_angle_beta 137.80
_cell_angle_gamma 61.21
loop_
_symmetry_equiv_pos_as_xyz
'x,y,z'
loop_
_atom_site_label
_atom_site_type_symbol
_atom_site_fract_x
_atom_site_fract_y
_atom_site_fract_z
Gd1 Gd 0.125 0.875 0.250
Gd2 Gd 0.254 0.504 0.750
Gd3 Gd 0.496 0.746 0.750
Gd4 Gd 0.504 0.254 0.250
Gd5 Gd 0.746 0.496 0.250
Gd6 Gd 0.875 0.125 0.750
Zn1 Zn 0.000 0.000 0.000
Zn2 Zn 0.000 0.000 0.500
Zn3 Zn 0.000 0.500 0.000
Zn4 Zn 0.042 0.320 0.240
Zn5 Zn 0.042 0.802 0.722
Zn6 Zn 0.118 0.220 0.602
Zn7 Zn 0.118 0.516 0.898
Zn8 Zn 0.142 0.738 0.404
Zn9 Zn 0.154 0.624 0.530
Zn10 Zn 0.165 0.262 0.904
Zn11 Zn 0.198 0.420 0.240
Zn12 Zn 0.198 0.958 0.778
Zn13 Zn 0.220 0.118 0.102
Zn14 Zn 0.262 0.165 0.404
Zn15 Zn 0.262 0.858 0.096
Zn16 Zn 0.320 0.042 0.740
Zn17 Zn 0.320 0.580 0.278
Zn18 Zn 0.376 0.406 0.530
Zn19 Zn 0.376 0.846 0.970
Zn20 Zn 0.406 0.376 0.030
Zn21 Zn 0.420 0.198 0.740
Zn22 Zn 0.420 0.680 0.222
Zn23 Zn 0.484 0.882 0.602
Zn24 Zn 0.500 0.000 0.500
Zn25 Zn 0.516 0.118 0.398
Zn26 Zn 0.580 0.320 0.778
Zn27 Zn 0.580 0.802 0.260
Zn28 Zn 0.594 0.624 0.970
Zn29 Zn 0.624 0.154 0.030
Zn30 Zn 0.624 0.594 0.470
Zn31 Zn 0.680 0.420 0.722
Zn32 Zn 0.680 0.958 0.260
Zn33 Zn 0.738 0.142 0.904
Zn34 Zn 0.738 0.835 0.596
Zn35 Zn 0.780 0.882 0.898
Zn36 Zn 0.802 0.042 0.222
Zn37 Zn 0.802 0.580 0.760
Zn38 Zn 0.835 0.738 0.096
Zn39 Zn 0.846 0.376 0.470
Zn40 Zn 0.858 0.262 0.596
Zn41 Zn 0.882 0.484 0.102
Zn42 Zn 0.882 0.780 0.398
Zn43 Zn 0.958 0.198 0.278
Zn44 Zn 0.958 0.680 0.760
```

***

Starting from DFT lattice parameters and positions (PBE), the powder diffraction line list of K4P2PdSe8 was simulated for CuKα.
Peak positions follow from Bragg's law for the DFT cell and can differ from measured ones.

Largest 10 diffraction maxima, most intense first, 2θ = 10–80°:
2theta  intensity
26.04  1000
27.54  605
15.03  539
31.41  518
26.84  493
15.46  421
32.05  357
40.65  353
34.06  335
13.33  280

Cell and atoms:
```
data_K4P2PdSe8
_symmetry_space_group_name_H-M 'P 1'
_symmetry_Int_Tables_number 1
_cell_length_a 6.679
_cell_length_b 7.228
_cell_length_c 9.765
_cell_angle_alpha 87.69
_cell_angle_beta 84.69
_cell_angle_gamma 87.07
loop_
_symmetry_equiv_pos_as_xyz
'x,y,z'
loop_
_atom_site_label
_atom_site_type_symbol
_atom_site_fract_x
_atom_site_fract_y
_atom_site_fract_z
K1 K 0.228 0.150 0.366
K2 K 0.250 0.720 0.976
K3 K 0.750 0.280 0.024
K4 K 0.772 0.850 0.634
P1 P 0.322 0.229 0.760
P2 P 0.678 0.771 0.240
Pd1 Pd 0.500 0.500 0.500
Se1 Se 0.169 0.457 0.634
Se2 Se 0.254 0.246 0.984
Se3 Se 0.269 0.955 0.685
Se4 Se 0.359 0.687 0.310
Se5 Se 0.641 0.313 0.690
Se6 Se 0.731 0.045 0.315
Se7 Se 0.746 0.754 0.016
Se8 Se 0.831 0.543 0.366
```

***

Starting from DFT lattice parameters and positions (PBE), the powder diffraction line list of KZrTl was simulated for CuKα.
Peak positions follow from Bragg's law for the DFT cell and can differ from measured ones.

Largest 10 diffraction maxima, most intense first, 2θ = 10–80°:
2theta  intensity
34.06  1000
20.67  880
40.18  490
60.97  365
53.67  215
48.94  178
65.11  162
75.56  159
71.72  112
23.91  41

Cell and atoms:
```
data_KZrTl
_symmetry_space_group_name_H-M 'P 1'
_symmetry_Int_Tables_number 1
_cell_length_a 7.444
_cell_length_b 7.444
_cell_length_c 7.444
_cell_angle_alpha 90.00
_cell_angle_beta 90.00
_cell_angle_gamma 90.00
loop_
_symmetry_equiv_pos_as_xyz
'x,y,z'
loop_
_atom_site_label
_atom_site_type_symbol
_atom_site_fract_x
_atom_site_fract_y
_atom_site_fract_z
K1 K 0.000 0.000 0.000
K2 K 0.000 0.500 0.500
K3 K 0.500 0.000 0.500
K4 K 0.500 0.500 0.000
Zr1 Zr 0.000 0.000 0.500
Zr2 Zr 0.000 0.500 0.000
Zr3 Zr 0.500 0.000 0.000
Zr4 Zr 0.500 0.500 0.500
Tl1 Tl 0.250 0.250 0.250
Tl2 Tl 0.250 0.750 0.750
Tl3 Tl 0.750 0.250 0.750
Tl4 Tl 0.750 0.750 0.250
```